(1)
For PmSm2Cu3, DFT lattice parameters and positions (PBE) gives the theoretical powder diffractogram in this record (copper Kα).
Peak positions follow from Bragg's law for the DFT cell and can differ from measured ones.

Cell and atoms:
```
PmSm2Cu3
1.0
3.5458 0.0000 0.0000
0.0000 3.5458 0.0000
0.0000 0.0000 10.7000
Pm Sm Cu
1 2 3
Direct
0.0000 0.0000 0.0000
0.0000 0.0000 0.3339
0.0000 0.0000 0.6661
0.5000 0.5000 0.1687
0.5000 0.5000 0.5000
0.5000 0.5000 0.8313
```

Main lines, in order of rising 2θ (5 to 70 degrees two-theta):
| 2θ/deg | I (rel.) |
| --- | --- |
| 24.97 | 8 |
| 25.11 | 16 |
| 35.71 | 100 |
| 35.81 | 50 |
| 44.15 | 7 |
| 51.23 | 9 |
| 51.55 | 17 |
| 58.14 | 7 |
| 64.08 | 18 |
| 64.29 | 35 |



(2)
For PmSmCu4, DFT lattice parameters and positions (PBE) gives the theoretical powder diffractogram in this record (copper Kα).
Peak positions follow from Bragg's law for the DFT cell and can differ from measured ones.

Cell and atoms:
```
PmSmCu4
1.0
-2.1662 3.5369 3.7149
2.1662 -3.5369 3.7149
2.1662 3.5369 -3.7149
Pm Sm Cu
1 1 4
Direct
0.0000 0.0000 0.0000
0.5728 0.0728 0.5000
0.1678 0.3715 0.7963
0.4070 0.7022 0.7048
0.5752 0.3715 0.2037
0.9974 0.7022 0.2952
```

Main lines, in order of rising 2θ (5 to 70 degrees two-theta):
| 2θ/deg | I (rel.) |
| --- | --- |
| 23.77 | 18 |
| 34.23 | 25 |
| 34.90 | 100 |
| 35.03 | 43 |
| 40.12 | 13 |
| 41.70 | 30 |
| 42.02 | 46 |
| 55.56 | 22 |
| 57.68 | 11 |
| 67.77 | 14 |



(3)
For Pm3SmCu8, DFT lattice parameters and positions (PBE) gives the theoretical powder diffractogram in this record (copper Kα).
Peak positions follow from Bragg's law for the DFT cell and can differ from measured ones.

Cell and atoms:
```
Pm3SmCu8
1.0
5.3562 0.0000 0.0000
-2.6781 4.6386 0.0000
0.0000 0.0000 8.6125
Pm Sm Cu
3 1 8
Direct
0.0000 0.0000 0.0000
0.0000 0.0000 0.3998
0.3333 0.6667 0.8989
0.3333 0.6667 0.4996
0.3418 0.1709 0.6993
0.5042 0.0084 0.2001
0.5042 0.4958 0.2001
0.6667 0.3333 0.4499
0.6667 0.3333 0.9498
0.8291 0.1709 0.6993
0.8291 0.6582 0.6993
0.9916 0.4958 0.2001
```

Main lines, in order of rising 2θ (5 to 70 degrees two-theta):
| 2θ/deg | I (rel.) |
| --- | --- |
| 28.28 | 14 |
| 33.46 | 49 |
| 36.82 | 60 |
| 38.83 | 12 |
| 39.63 | 100 |
| 40.27 | 45 |
| 41.96 | 13 |
| 62.03 | 28 |
| 63.98 | 24 |
| 67.76 | 26 |



(4)
For Pm4CuSn2, DFT lattice parameters and positions (PBE) gives the theoretical powder diffractogram in this record (copper Kα).
Peak positions follow from Bragg's law for the DFT cell and can differ from measured ones.

Cell and atoms:
```
Pm4CuSn2
1.0
5.8039 -2.3278 0.0000
5.8039 2.3278 0.0000
-4.7010 0.0000 7.5728
Pm Cu Sn
4 1 2
Direct
0.0775 0.0775 0.3622
0.3238 0.3238 0.9329
0.6762 0.6762 0.0671
0.9225 0.9225 0.6378
0.0000 0.0000 0.0000
0.3555 0.3555 0.3414
0.6445 0.6445 0.6586
```

Main lines, in order of rising 2θ (5 to 70 degrees two-theta):
| 2θ/deg | I (rel.) |
| --- | --- |
| 26.44 | 34 |
| 27.92 | 87 |
| 30.13 | 100 |
| 31.15 | 28 |
| 33.37 | 81 |
| 35.27 | 48 |
| 35.56 | 38 |
| 36.90 | 63 |
| 38.68 | 58 |
| 53.55 | 24 |



- Which formula does entry 2 have?
  PmSmCu4